Starting from a cell relaxed with PBE, the powder diffractogram of Ac6Te3PIr2 was computed for copper Kα.
Intensities are scaled so that the largest is 100.

Structure:
```
data_Ac6Te3PIr2
_cell_length_a 7.766
_cell_length_b 7.766
_cell_length_c 8.290
_cell_angle_alpha 99.12
_cell_angle_beta 99.12
_cell_angle_gamma 119.96
_symmetry_space_group_name_H-M 'P 1'
_symmetry_Int_Tables_number 1
_symmetry_space_group_name_Hall 'P 1'
loop_
_atom_site_label
_atom_site_type_symbol
_atom_site_fract_x
_atom_site_fract_y
_atom_site_fract_z
Ac1 Ac 0.089 0.431 0.789
Ac2 Ac 0.227 0.227 0.210
Ac3 Ac 0.431 0.089 0.789
Ac4 Ac 0.569 0.911 0.211
Ac5 Ac 0.773 0.773 0.790
Ac6 Ac 0.911 0.569 0.211
Te1 Te 0.000 0.000 0.500
Te2 Te 0.337 0.663 0.500
Te3 Te 0.663 0.337 0.500
P1 P 0.500 0.500 0.000
Ir1 Ir 0.167 0.833 0.000
Ir2 Ir 0.833 0.167 0.000
```

The 10 most intense peaks (2θ from 5° to 70°), by angle:
d [Å]  two_theta  Rel. int.
7.863  11.3  8
3.689  24.1  9
3.244  27.5  100
2.351  38.3  23
2.344  38.4  11
2.242  40.2  39
1.844  49.4  21
1.620  56.8  7
1.426  65.4  6
1.424  65.6  11